Structure and simulated X-ray diffraction stick pattern of K2SnBi (a cell relaxed with GGA-PBE; copper Kα).
No peak broadening, texture or thermal motion is included.

Lattice parameters (Å, degrees): 6.848 13.572 6.641 90.00 90.00 90.00
Space group Pbcm (No. 57)
Asymmetric unit:
K  0.115  0.167  0.250
K  0.342  0.007  0.750
Sn  0.405  0.750  0.000
Bi  0.159  0.606  0.750

Peak list (10 most intense, 10 to 90 degrees two-theta, in order of rising 2θ)
h k l, Position (°2θ), d/Å, intensity
1 1 0, 14.49, 6.114, 100
0 2 1, 18.70, 4.746, 71
1 1 1, 19.74, 4.498, 59
1 3 1, 27.17, 3.282, 38
1 4 0, 29.38, 3.040, 49
1 0 2, 29.93, 2.986, 71
2 1 1, 30.09, 2.969, 70
2 3 0, 32.79, 2.731, 72
1 3 2, 36.02, 2.493, 51
0 4 2, 37.91, 2.373, 37